# CoGeP
Theoretical powder diffractogram, Cu Ka. Input: a cell relaxed with PBE.

Peak list (10 most intense, 2θ = 10–80°, in order of rising 2θ)
2θ/deg  I_rel  (hkl)
27.4  34  1 1 1
35.7  100  2 1 0
39.2  72  2 1 1
45.6  21  2 2 0
48.5  9  2 2 1
51.3  20  3 0 1
54.0  47  3 1 1
61.6  40  3 1 2
68.7  14  4 1 0
77.7  19  4 2 1

Unit cell a=5.630 b=5.630 c=5.630 alpha=90.00 beta=90.00 gamma=90.00
Positions (direct):
Co (0.038, 0.038, 0.038)
Co (0.462, 0.962, 0.538)
Co (0.538, 0.462, 0.962)
Co (0.962, 0.538, 0.462)
Ge (0.152, 0.652, 0.848)
Ge (0.348, 0.348, 0.348)
Ge (0.652, 0.848, 0.152)
Ge (0.848, 0.152, 0.652)
P (0.130, 0.870, 0.370)
P (0.370, 0.130, 0.870)
P (0.630, 0.630, 0.630)
P (0.870, 0.370, 0.130)

# MgCuN
Theoretical powder diffractogram, Cu Ka. Input: a cell relaxed with PBE.

Peak list (10 most intense, 2θ = 10–80°, in order of rising 2θ)
2θ/deg  I_rel  (hkl)
23.8  10  0 0 1
28.6  52  1 0 0
37.5  100  1 0 1
40.9  68  1 1 0
47.9  7  1 1 1
48.8  19  0 0 2
57.5  12  1 0 2
59.2  20  2 0 0
65.4  29  1 1 2
72.2  28  2 1 1

Unit cell a=3.123 b=3.123 c=3.736 alpha=90.00 beta=90.00 gamma=90.00
Positions (direct):
Mg (0.000, 0.000, 0.000)
Cu (0.500, 0.500, 0.500)
N (0.500, 0.500, 0.000)